This entry pairs a crystal structure of CrPbO4 with its simulated X-ray powder pattern. Radiation: Cu Kα. Structure: a structure optimized by DFT (GGA+U).

Structure:
```
CrPbO4
1.0
6.9227 0.0000 0.0000
0.0000 7.6205 0.0000
-5.2944 0.0000 7.1041
Cr Pb O
4 4 16
Direct
0.1828 0.1651 0.2983
0.1828 0.3349 0.7983
0.8172 0.6651 0.2017
0.8172 0.8349 0.7017
0.3118 0.6332 0.2157
0.3118 0.8668 0.7157
0.6882 0.1332 0.2843
0.6882 0.3668 0.7843
0.0949 0.7094 0.3885
0.0949 0.7906 0.8885
0.1510 0.0951 0.4630
0.1510 0.4049 0.9630
0.3160 0.0144 0.2528
0.3160 0.4856 0.7528
0.3538 0.1540 0.8748
0.3538 0.3460 0.3748
0.6462 0.6540 0.6252
0.6462 0.8460 0.1252
0.6840 0.5144 0.2472
0.6840 0.9856 0.7472
0.8490 0.5951 0.0370
0.8490 0.9049 0.5370
0.9051 0.2094 0.1115
0.9051 0.2906 0.6115
```

Largest 12 diffraction maxima, by angle, 10 to 80 degrees two-theta:
d/Å	Rel. int.	(hkl)
5.052	34	1 1 -1
4.487	23	1 1 0
3.552	50	0 0 2
3.358	100	0 2 1
3.085	50	2 1 -2
3.068	25	2 1 -1
2.775	20	2 0 0
2.299	39	3 0 -2
2.124	23	2 1 -4
2.024	17	2 3 -1
1.893	19	2 2 1
1.885	16	2 3 -3

This entry pairs a crystal structure of KLiWO4 with its simulated X-ray powder pattern. Radiation: Cu Kα. Structure: a structure optimized by DFT (GGA+U).

Structure:
```
KLiWO4
1.0
6.0568 0.0000 0.0000
-3.0284 5.2454 0.0000
0.0000 0.0000 9.9591
K Li W O
2 2 2 8
Direct
0.0000 0.0000 0.0000
0.0000 0.0000 0.5000
0.3333 0.6667 0.1843
0.6667 0.3333 0.6843
0.3333 0.6667 0.8068
0.6667 0.3333 0.3068
0.0075 0.5038 0.7476
0.3333 0.6667 0.9898
0.4962 0.5038 0.7476
0.4962 0.9925 0.7476
0.5038 0.0075 0.2476
0.5038 0.4962 0.2476
0.6667 0.3333 0.4898
0.9925 0.4962 0.2476
```

Largest 12 diffraction maxima, by angle, 10 to 80 degrees two-theta:
d/Å	Rel. int.	(hkl)
5.245	15	1 0 0
4.980	23	0 0 2
4.641	100	1 0 1
3.611	38	1 0 2
3.028	34	1 1 0
2.805	23	1 0 3
2.587	16	1 1 2
2.536	21	2 0 1
1.944	19	2 1 1
1.923	12	1 1 4
1.842	11	2 1 2
1.702	11	2 1 3